(1)
Diffraction record for TiO2. The X-ray diffraction stick pattern is simulated, not measured: it uses a crystal structure in Alexandria, relaxed with PBE and Cu Ka.

Structural model:
```
data_TiO2
_space_group_name_H-M_alt 'P b c a'
_space_group_IT_number 61
_space_group_name_Hall '-P 2ac 2ab'
_cell_length_a 5.1806
_cell_length_b 9.2728
_cell_length_c 5.5106
_cell_angle_alpha 90.00
_cell_angle_beta 90.00
_cell_angle_gamma 90.00
loop_
_atom_site_label
_atom_site_fract_x
_atom_site_fract_y
_atom_site_fract_z
Ti1 0.1382 0.1290 0.0927
O1 0.0357 0.7298 0.1081
O2 0.1835 0.5103 0.3516
```

The 8 most intense peaks (2θ from 15° to 90°), by angle:
2θ (°)	intensity	hkl
25.10	90	0 2 1
25.48	75	1 1 1
30.54	100	1 2 1
36.00	24	2 1 0
45.70	20	2 3 0
47.57	33	1 3 2
53.67	26	0 2 3
54.69	34	1 4 2

---

(2)
Diffraction record for Ti3O4. The X-ray diffraction stick pattern is simulated, not measured: it uses a crystal structure in Alexandria, relaxed with PBE and Cu Ka.

Structural model:
```
data_Ti3O4
_space_group_name_H-M_alt 'I 4/m m m'
_space_group_IT_number 139
_space_group_name_Hall '-I 4 2'
_cell_length_a 4.1567
_cell_length_b 4.1567
_cell_length_c 8.2133
_cell_angle_alpha 90.00
_cell_angle_beta 90.00
_cell_angle_gamma 90.00
loop_
_atom_site_label
_atom_site_fract_x
_atom_site_fract_y
_atom_site_fract_z
Ti1 0.0000 0.0000 0.0000
Ti2 0.0000 0.5000 0.2500
O1 0.0000 0.0000 0.2561
O2 0.0000 0.5000 0.0000
```

The 8 most intense peaks (2θ from 15° to 90°), by angle:
2θ (°)	intensity	hkl
21.64	19	0 0 2
23.99	55	1 0 1
37.63	43	1 1 2
43.55	100	2 0 0
44.10	48	0 0 4
63.28	27	2 2 0
63.71	53	2 0 4
80.34	24	2 2 4

---

(3)
Diffraction record for TiO. The X-ray diffraction stick pattern is simulated, not measured: it uses a crystal structure in Alexandria, relaxed with PBE and Cu Ka.

Structural model:
```
data_TiO
_space_group_name_H-M_alt 'P 21 21 21'
_space_group_IT_number 19
_space_group_name_Hall 'P 2ac 2ab'
_cell_length_a 5.6087
_cell_length_b 6.0198
_cell_length_c 6.0268
_cell_angle_alpha 90.00
_cell_angle_beta 90.00
_cell_angle_gamma 90.00
loop_
_atom_site_label
_atom_site_fract_x
_atom_site_fract_y
_atom_site_fract_z
Ti1 0.0816 0.1141 0.4111
Ti2 0.1128 0.6562 0.6359
O1 0.0364 0.2978 0.1324
O2 0.1448 0.0000 0.7152
```

The 8 most intense peaks (2θ from 15° to 90°), by angle:
2θ (°)	intensity	hkl
26.27	100	1 1 1
33.25	69	0 1 2
33.79	90	1 2 0
35.30	71	2 0 1
37.02	94	1 2 1
54.98	34	0 3 2
58.59	47	2 3 1
60.26	36	3 2 1